Simulated PXRD pattern of Tb2Nd4Th3 for Cu Kα (weighted mean of Kα1 and Kα2), from DFT lattice parameters and positions (PBE).
Kinematic intensities with the Lorentz-polarization factor, no thermal factor.

Most intense lines, 2θ = 10–90°, low angle first:
two_theta, d (Å), Rel. int.
30.2, 2.959, 100
30.4, 2.938, 33
35.0, 2.562, 45
35.2, 2.549, 22
50.3, 1.814, 24
50.7, 1.801, 16
59.8, 1.547, 10
59.9, 1.544, 14
60.1, 1.539, 19
81.9, 1.176, 10

Crystal structure
Cell: 8.0825 8.0825 10.8563 Å, 103.45 103.45 25.95°
Fractional positions:
Tb1 0.1643 0.1643 0.2217
Tb2 0.8357 0.8357 0.7783
Nd1 0.1619 0.1619 0.8860
Nd2 0.4967 0.4967 0.6621
Nd3 0.5033 0.5033 0.3379
Nd4 0.8381 0.8381 0.1140
Th1 0.1727 0.1727 0.5574
Th2 0.5000 0.5000 0.0000
Th3 0.8273 0.8273 0.4426

Simulated PXRD pattern of Ta3MoH7 for Cu Kα (weighted mean of Kα1 and Kα2), from DFT lattice parameters and positions (PBE).
Kinematic intensities with the Lorentz-polarization factor, no thermal factor.

Most intense lines, 2θ = 10–90°, low angle first:
two_theta, d (Å), Rel. int.
34.7, 2.587, 34
34.9, 2.572, 100
40.4, 2.230, 65
58.3, 1.582, 15
58.5, 1.577, 8
58.7, 1.574, 23
69.8, 1.348, 9
69.9, 1.346, 18
70.1, 1.342, 22
73.6, 1.287, 7

Crystal structure
Cell: 4.4581 4.4581 5.4473 Å, 113.90 113.90 89.90°
Fractional positions:
Ta1 0.0000 0.0000 0.0000
Ta2 0.2405 0.7545 0.5107
Ta3 0.7545 0.2405 0.5107
Mo1 0.4874 0.4874 0.0025
H1 0.1249 0.6161 0.7604
H2 0.3729 0.3729 0.2567
H3 0.3731 0.8688 0.2530
H4 0.6161 0.1249 0.7604
H5 0.6221 0.6221 0.7608
H6 0.8629 0.8629 0.2457
H7 0.8688 0.3731 0.2530

Simulated PXRD pattern of Cs2Np2Se5 for Cu Kα (weighted mean of Kα1 and Kα2), from DFT lattice parameters and positions (PBE).
Kinematic intensities with the Lorentz-polarization factor, no thermal factor.

Most intense lines, 2θ = 10–90°, low angle first:
two_theta, d (Å), Rel. int.
10.0, 8.815, 100
24.5, 3.632, 44
29.3, 3.048, 40
29.9, 2.989, 22
32.3, 2.771, 51
35.8, 2.507, 44
36.0, 2.495, 71
39.8, 2.267, 27
44.2, 2.051, 22
59.8, 1.547, 23

Crystal structure
Cell: 9.6736 9.6736 7.9733 Å, 90.00 90.00 48.65°
Fractional positions:
Cs1 0.2062 0.2062 0.0000
Cs2 0.2938 0.2938 0.5000
Cs3 0.7062 0.7062 0.5000
Cs4 0.7938 0.7938 0.0000
Np1 0.1613 0.8387 0.6614
Np2 0.3387 0.6613 0.1614
Np3 0.6613 0.3387 0.8386
Np4 0.8387 0.1613 0.3386
Se1 0.0000 0.0000 0.0000
Se2 0.0416 0.7539 0.3563
Se3 0.2461 0.9584 0.3563
Se4 0.2539 0.5416 0.8563
Se5 0.4584 0.7461 0.8563
Se6 0.5000 0.5000 0.5000
Se7 0.5416 0.2539 0.1437
Se8 0.7461 0.4584 0.1437
Se9 0.7539 0.0416 0.6437
Se10 0.9584 0.2461 0.6437

Simulated PXRD pattern of NbFeGeN2 for Cu Kα (weighted mean of Kα1 and Kα2), from DFT lattice parameters and positions (PBE).
Kinematic intensities with the Lorentz-polarization factor, no thermal factor.

Most intense lines, 2θ = 10–90°, low angle first:
two_theta, d (Å), Rel. int.
16.1, 5.507, 54
24.9, 3.580, 39
32.5, 2.753, 100
35.5, 2.532, 98
39.2, 2.300, 68
48.9, 1.864, 79
51.0, 1.790, 52
61.8, 1.501, 56
84.2, 1.150, 22
89.9, 1.091, 19

Crystal structure
Cell: 3.5802 3.5802 5.5069 Å, 90.00 90.00 90.00°
Fractional positions:
Nb1 0.0000 0.0000 0.0000
Fe1 0.0000 0.0000 0.5000
Ge1 0.5000 0.5000 0.0000
N1 0.0000 0.5000 0.5000
N2 0.5000 0.0000 0.5000

Simulated PXRD pattern of Al2Zn3 for Cu Kα (weighted mean of Kα1 and Kα2), from DFT lattice parameters and positions (PBE).
Kinematic intensities with the Lorentz-polarization factor, no thermal factor.

Most intense lines, 2θ = 10–90°, low angle first:
two_theta, d (Å), Rel. int.
22.9, 3.886, 82
25.5, 3.489, 30
37.1, 2.422, 36
42.2, 2.141, 100
42.8, 2.111, 35
44.4, 2.040, 62
52.5, 1.744, 21
58.0, 1.591, 18
71.3, 1.323, 19
75.6, 1.257, 18

Crystal structure
Cell: 4.8505 4.8505 4.8505 Å, 62.45 62.45 62.45°
Fractional positions:
Al1 0.1239 0.1239 0.1239
Al2 0.8761 0.8761 0.8761
Zn1 0.0000 0.5000 0.5000
Zn2 0.5000 0.0000 0.5000
Zn3 0.5000 0.5000 0.0000

Simulated PXRD pattern of FeTe3Pd12 for Cu Kα (weighted mean of Kα1 and Kα2), from DFT lattice parameters and positions (PBE).
Kinematic intensities with the Lorentz-polarization factor, no thermal factor.

Most intense lines, 2θ = 10–90°, low angle first:
two_theta, d (Å), Rel. int.
33.2, 2.695, 1
35.5, 2.526, 2
38.6, 2.334, 100
39.0, 2.308, 2
44.8, 2.021, 48
60.9, 1.521, 2
65.3, 1.429, 29
72.3, 1.307, 2
78.5, 1.219, 33
82.7, 1.167, 10

Crystal structure
Cell: 4.0445 4.0445 16.1565 Å, 90.00 90.00 90.00°
Fractional positions:
Fe1 0.0000 0.0000 0.0000
Te1 0.0000 0.0000 0.2388
Te2 0.0000 0.0000 0.5000
Te3 0.0000 0.0000 0.7612
Pd1 0.0000 0.5000 0.1141
Pd2 0.0000 0.5000 0.3727
Pd3 0.0000 0.5000 0.6273
Pd4 0.0000 0.5000 0.8859
Pd5 0.5000 0.0000 0.1141
Pd6 0.5000 0.0000 0.3727
Pd7 0.5000 0.0000 0.6273
Pd8 0.5000 0.0000 0.8859
Pd9 0.5000 0.5000 0.0000
Pd10 0.5000 0.5000 0.2456
Pd11 0.5000 0.5000 0.5000
Pd12 0.5000 0.5000 0.7544